Entry 1:
Starting from the PBE geometry in OQMD, the powder diffraction line list of Rb2PtC4Br2N4 was computed for CuKα.
Neutral-atom scattering factors, no anomalous dispersion.

Principal peaks in the range 10 to 90 degrees two-theta, in order of falling intensity:
- 2θ = 14.1°, intensity 1000, hkl 0 1 1
- 2θ = 16.9°, intensity 888, hkl 1 1 -1
- 2θ = 23.1°, intensity 583, hkl 1 2 0
- 2θ = 20.8°, intensity 560, hkl 0 0 2
- 2θ = 29.1°, intensity 547, hkl 1 1 2
- 2θ = 21.0°, intensity 533, hkl 1 0 -2
- 2θ = 27.4°, intensity 517, hkl 1 0 2
- 2θ = 20.9°, intensity 488, hkl 1 1 1

Structure:
```
data_Rb2PtC4Br2N4
_chemical_formula_sum 'Rb4 Pt2 C8 Br4 N8'
_cell_length_a 7.2872
_cell_length_b 9.2550
_cell_length_c 8.9208
_cell_angle_alpha 90.00
_cell_angle_beta 106.59
_cell_angle_gamma 90.00
_space_group_name_H-M_alt 'P 1 21/c 1'
_space_group_IT_number 14
_space_group_name_Hall '-P 2ybc'
loop_
_atom_site_label
_atom_site_type_symbol
_atom_site_fract_x
_atom_site_fract_y
_atom_site_fract_z
Rb1 Rb 0.0044 0.2228 0.3799
Pt1 Pt 0.5000 0.0000 0.0000
C1 C 0.2976 0.0323 0.1091
C2 C 0.3086 0.0446 0.7944
Br1 Br 0.4075 0.7361 0.9665
N1 N 0.1755 0.0521 0.1683
N2 N 0.1916 0.0707 0.6772
```

***

Entry 2:
Starting from the PBE geometry in OQMD, the powder diffraction line list of PrNdCBr was computed for CuKα.
Neutral-atom scattering factors, no anomalous dispersion.

Principal peaks in the range 10 to 90 degrees two-theta, in order of falling intensity:
- 2θ = 32.4°, intensity 1000, hkl 1 0 3
- 2θ = 47.5°, intensity 244, hkl 1 1 0
- 2θ = 26.9°, intensity 243, hkl 1 0 0
- 2θ = 61.0°, intensity 192, hkl 1 1 6
- 2θ = 58.7°, intensity 181, hkl 2 0 3
- 2θ = 78.8°, intensity 154, hkl 2 1 3
- 2θ = 36.0°, intensity 148, hkl 0 0 6
- 2θ = 45.5°, intensity 134, hkl 1 0 6

Structure:
```
data_PrNdCBr
_chemical_formula_sum 'Pr2 Nd2 C2 Br2'
_cell_length_a 3.8276
_cell_length_b 3.8276
_cell_length_c 14.9775
_cell_angle_alpha 90.00
_cell_angle_beta 90.00
_cell_angle_gamma 120.00
_space_group_name_H-M_alt 'P -6 m 2'
_space_group_IT_number 187
_space_group_name_Hall 'P -6 2'
loop_
_atom_site_label
_atom_site_type_symbol
_atom_site_fract_x
_atom_site_fract_y
_atom_site_fract_z
Pr1 Pr 0.0000 0.0000 0.1586
Nd1 Nd 0.3333 0.6667 0.3427
C1 C 0.6667 0.3333 0.2526
Br1 Br 0.0000 0.0000 0.5000
Br2 Br 0.3333 0.6667 0.0000
```

***

Entry 3:
Starting from the PBE geometry in OQMD, the powder diffraction line list of PrNd3C2Br2 was computed for CuKα.
Neutral-atom scattering factors, no anomalous dispersion.

Principal peaks in the range 10 to 90 degrees two-theta, in order of falling intensity:
- 2θ = 32.5°, intensity 1000, hkl 1 0 3
- 2θ = 47.6°, intensity 244, hkl 1 1 0
- 2θ = 26.9°, intensity 243, hkl 1 0 0
- 2θ = 61.1°, intensity 192, hkl 1 1 6
- 2θ = 58.8°, intensity 181, hkl 2 0 3
- 2θ = 78.9°, intensity 154, hkl 2 1 3
- 2θ = 36.1°, intensity 148, hkl 0 0 6
- 2θ = 45.6°, intensity 134, hkl 1 0 6

Structure:
```
data_PrNd3C2Br2
_chemical_formula_sum 'Pr1 Nd3 C2 Br2'
_cell_length_a 3.8210
_cell_length_b 3.8210
_cell_length_c 14.9364
_cell_angle_alpha 90.00
_cell_angle_beta 90.00
_cell_angle_gamma 120.00
_space_group_name_H-M_alt 'P 3 m 1'
_space_group_IT_number 156
_space_group_name_Hall 'P 3 -2"'
loop_
_atom_site_label
_atom_site_type_symbol
_atom_site_fract_x
_atom_site_fract_y
_atom_site_fract_z
Pr1 Pr 0.0000 0.0000 0.0000
Nd1 Nd 0.0000 0.0000 0.6835
Nd2 Nd 0.3333 0.6667 0.1847
Nd3 Nd 0.3333 0.6667 0.5003
C1 C 0.6667 0.3333 0.0943
C2 C 0.6667 0.3333 0.5919
Br1 Br 0.0000 0.0000 0.3427
Br2 Br 0.3333 0.6667 0.8399
```

***

Entry 4:
Starting from the PBE geometry in OQMD, the powder diffraction line list of Nd2Sm2C2Br5 was computed for CuKα.
Neutral-atom scattering factors, no anomalous dispersion.

Principal peaks in the range 10 to 90 degrees two-theta, in order of falling intensity:
- 2θ = 31.5°, intensity 1000, hkl 1 1 -2
- 2θ = 28.5°, intensity 687, hkl 6 0 0
- 2θ = 43.5°, intensity 402, hkl 5 1 2
- 2θ = 11.1°, intensity 391, hkl 0 0 1
- 2θ = 42.5°, intensity 359, hkl 7 1 -2
- 2θ = 27.7°, intensity 238, hkl 3 1 -1
- 2θ = 30.4°, intensity 229, hkl 3 1 1
- 2θ = 55.3°, intensity 211, hkl 6 2 0

Structure:
```
data_Nd2Sm2C2Br5
_chemical_formula_sum 'Nd4 Sm4 C4 Br10'
_cell_length_a 19.3698
_cell_length_b 3.9224
_cell_length_c 8.2286
_cell_angle_alpha 90.00
_cell_angle_beta 104.07
_cell_angle_gamma 90.00
_space_group_name_H-M_alt 'C 1 2/m 1'
_space_group_IT_number 12
_space_group_name_Hall '-C 2y'
loop_
_atom_site_label
_atom_site_type_symbol
_atom_site_fract_x
_atom_site_fract_y
_atom_site_fract_z
Nd1 Nd 0.9997 0.0000 0.2026
Sm1 Sm 0.1557 0.5000 0.0982
C1 C 0.0375 0.5000 0.0228
Br1 Br 0.0000 0.5000 0.5000
Br2 Br 0.1615 0.0000 0.3638
Br3 Br 0.1691 0.0000 0.8347
```

***

Entry 5:
Starting from the PBE geometry in OQMD, the powder diffraction line list of Nd2Sm2C2Br5 was computed for CuKα.
Neutral-atom scattering factors, no anomalous dispersion.

Principal peaks in the range 10 to 90 degrees two-theta, in order of falling intensity:
- 2θ = 31.7°, intensity 1000, hkl 1 1 -2
- 2θ = 28.6°, intensity 709, hkl 6 0 0
- 2θ = 43.9°, intensity 403, hkl 5 1 2
- 2θ = 42.5°, intensity 351, hkl 7 1 -2
- 2θ = 11.1°, intensity 345, hkl 0 0 1
- 2θ = 27.9°, intensity 279, hkl 3 1 -1
- 2θ = 30.7°, intensity 231, hkl 3 1 1
- 2θ = 55.7°, intensity 214, hkl 6 2 0

Structure:
```
data_Nd2Sm2C2Br5
_chemical_formula_sum 'Nd4 Sm4 C4 Br10'
_cell_length_a 19.3840
_cell_length_b 3.8853
_cell_length_c 8.2183
_cell_angle_alpha 90.00
_cell_angle_beta 104.72
_cell_angle_gamma 90.00
_space_group_name_H-M_alt 'C 1 2/m 1'
_space_group_IT_number 12
_space_group_name_Hall '-C 2y'
loop_
_atom_site_label
_atom_site_type_symbol
_atom_site_fract_x
_atom_site_fract_y
_atom_site_fract_z
Nd1 Nd 0.1578 0.0000 0.1000
Sm1 Sm 0.0005 0.5000 0.2005
C1 C 0.0376 0.0000 0.0225
Br1 Br 0.0000 0.0000 0.5000
Br2 Br 0.1589 0.5000 0.3709
Br3 Br 0.1665 0.5000 0.8257
```

***

Entry 6:
Starting from the PBE geometry in OQMD, the powder diffraction line list of Nd2Tm2CBr5 was computed for CuKα.
Neutral-atom scattering factors, no anomalous dispersion.

Principal peaks in the range 10 to 90 degrees two-theta, in order of falling intensity:
- 2θ = 31.3°, intensity 1000, hkl 1 1 -2
- 2θ = 10.7°, intensity 740, hkl 0 0 1
- 2θ = 34.1°, intensity 427, hkl 5 1 0
- 2θ = 30.0°, intensity 354, hkl 6 0 0
- 2θ = 43.7°, intensity 238, hkl 5 1 2
- 2θ = 44.1°, intensity 226, hkl 7 1 -2
- 2θ = 30.7°, intensity 201, hkl 3 1 1
- 2θ = 46.9°, intensity 178, hkl 0 2 0

Structure:
```
data_Nd2Tm2CBr5
_chemical_formula_sum 'Nd4 Tm4 C2 Br10'
_cell_length_a 18.3236
_cell_length_b 3.8744
_cell_length_c 8.4503
_cell_angle_alpha 90.00
_cell_angle_beta 102.43
_cell_angle_gamma 90.00
_space_group_name_H-M_alt 'C 1 2/m 1'
_space_group_IT_number 12
_space_group_name_Hall '-C 2y'
loop_
_atom_site_label
_atom_site_type_symbol
_atom_site_fract_x
_atom_site_fract_y
_atom_site_fract_z
Nd1 Nd 0.0011 0.0000 0.2941
Tm1 Tm 0.1315 0.5000 0.5656
C1 C 0.0000 0.5000 0.5000
Br1 Br 0.0000 0.5000 0.0000
Br2 Br 0.1662 0.0000 0.8138
Br3 Br 0.1710 0.0000 0.3502
```

***

Entry 7:
Starting from the PBE geometry in OQMD, the powder diffraction line list of Os3C10Br2O10 was computed for CuKα.
Neutral-atom scattering factors, no anomalous dispersion.

Principal peaks in the range 10 to 90 degrees two-theta, in order of falling intensity:
- 2θ = 13.7°, intensity 1000, hkl 1 1 -1
- 2θ = 11.5°, intensity 627, hkl 2 0 0
- 2θ = 15.0°, intensity 513, hkl 1 1 1
- 2θ = 13.2°, intensity 286, hkl 0 0 2
- 2θ = 31.7°, intensity 248, hkl 3 1 3
- 2θ = 33.2°, intensity 197, hkl 5 1 -3
- 2θ = 30.9°, intensity 171, hkl 2 2 -3
- 2θ = 38.8°, intensity 167, hkl 6 0 -4

Structure:
```
data_Os3C10Br2O10
_chemical_formula_sum 'Os12 C40 Br8 O40'
_cell_length_a 15.8694
_cell_length_b 7.7960
_cell_length_c 13.7621
_cell_angle_alpha 90.00
_cell_angle_beta 103.76
_cell_angle_gamma 90.00
_space_group_name_H-M_alt 'C 1 c 1'
_space_group_IT_number 9
_space_group_name_Hall 'C -2yc'
loop_
_atom_site_label
_atom_site_type_symbol
_atom_site_fract_x
_atom_site_fract_y
_atom_site_fract_z
Os1 Os 0.0000 0.1541 0.0000
Os2 Os 0.1003 0.2763 0.1970
Os3 Os 0.1994 0.2439 0.0446
C1 C 0.0001 0.2824 0.2509
C2 C 0.0773 0.4916 0.6466
C3 C 0.1256 0.0338 0.2234
C4 C 0.1907 0.3136 0.3162
C5 C 0.2361 0.4650 0.0941
C6 C 0.2539 0.2620 0.4031
C7 C 0.2787 0.1453 0.1552
C8 C 0.4277 0.1703 0.5294
C9 C 0.4298 0.4130 0.3733
C10 C 0.4542 0.4865 0.0711
Br1 Br 0.0736 0.3747 0.9053
Br2 Br 0.1280 0.0506 0.4849
O1 O 0.0590 0.3590 0.6096
O2 O 0.1439 0.1080 0.7416
O3 O 0.2342 0.4359 0.3854
O4 O 0.2602 0.3994 0.6227
O5 O 0.2703 0.2271 0.9563
O6 O 0.3296 0.0885 0.2222
O7 O 0.3841 0.4483 0.2969
O8 O 0.3869 0.0574 0.5482
O9 O 0.4252 0.3805 0.1125
O10 O 0.4430 0.2082 0.7900
```

***

Entry 8:
Starting from the PBE geometry in OQMD, the powder diffraction line list of Pr4CBr2O was computed for CuKα.
Neutral-atom scattering factors, no anomalous dispersion.

Principal peaks in the range 10 to 90 degrees two-theta, in order of falling intensity:
- 2θ = 32.8°, intensity 1000, hkl 0 1 3
- 2θ = 48.2°, intensity 246, hkl 1 1 0
- 2θ = 27.3°, intensity 234, hkl 1 0 0
- 2θ = 61.8°, intensity 187, hkl 1 1 6
- 2θ = 59.5°, intensity 179, hkl 2 0 3
- 2θ = 80.0°, intensity 153, hkl 1 2 3
- 2θ = 36.3°, intensity 146, hkl 0 0 6
- 2θ = 46.0°, intensity 138, hkl 0 1 6

Structure:
```
data_Pr4CBr2O
_chemical_formula_sum 'Pr4 C1 Br2 O1'
_cell_length_a 3.7778
_cell_length_b 3.7778
_cell_length_c 14.8489
_cell_angle_alpha 90.00
_cell_angle_beta 90.00
_cell_angle_gamma 120.00
_space_group_name_H-M_alt 'P -3 m 1'
_space_group_IT_number 164
_space_group_name_Hall '-P 3 2"'
loop_
_atom_site_label
_atom_site_type_symbol
_atom_site_fract_x
_atom_site_fract_y
_atom_site_fract_z
Pr1 Pr 0.3333 0.6667 0.0888
Pr2 Pr 0.3333 0.6667 0.4067
C1 C 0.0000 0.0000 0.5000
Br1 Br 0.3333 0.6667 0.7572
O1 O 0.0000 0.0000 0.0000
```

***

Entry 9:
Starting from the PBE geometry in OQMD, the powder diffraction line list of TcC5BrO5 was computed for CuKα.
Neutral-atom scattering factors, no anomalous dispersion.

Principal peaks in the range 10 to 90 degrees two-theta, in order of falling intensity:
- 2θ = 15.5°, intensity 1000, hkl 0 2 0
- 2θ = 31.8°, intensity 643, hkl 2 3 1
- 2θ = 28.6°, intensity 632, hkl 3 1 1
- 2θ = 16.7°, intensity 585, hkl 1 0 1
- 2θ = 17.1°, intensity 569, hkl 2 1 0
- 2θ = 36.4°, intensity 534, hkl 3 3 1
- 2θ = 22.8°, intensity 339, hkl 1 2 1
- 2θ = 31.3°, intensity 257, hkl 0 4 0

Structure:
```
data_TcC5BrO5
_chemical_formula_sum 'Tc4 C20 Br4 O20'
_cell_length_a 11.6026
_cell_length_b 11.4161
_cell_length_c 5.9914
_cell_angle_alpha 90.00
_cell_angle_beta 90.00
_cell_angle_gamma 90.00
_space_group_name_H-M_alt 'P n m a'
_space_group_IT_number 62
_space_group_name_Hall '-P 2ac 2n'
loop_
_atom_site_label
_atom_site_type_symbol
_atom_site_fract_x
_atom_site_fract_y
_atom_site_fract_z
Tc1 Tc 0.1234 0.2500 0.0537
C1 C 0.0257 0.2500 0.7950
C2 C 0.0289 0.1240 0.1959
C3 C 0.2253 0.1258 0.9240
Br1 Br 0.2417 0.7500 0.9049
O1 O 0.0228 0.5478 0.7277
O2 O 0.0346 0.7500 0.3597
O3 O 0.2164 0.5534 0.3531
```

***

Entry 10:
Starting from the PBE geometry in OQMD, the powder diffraction line list of Pr10C4Br15 was computed for CuKα.
Neutral-atom scattering factors, no anomalous dispersion.

Principal peaks in the range 10 to 90 degrees two-theta, in order of falling intensity:
- 2θ = 29.0°, intensity 1000, hkl 0 2 3
- 2θ = 30.4°, intensity 769, hkl 1 -2 2
- 2θ = 30.7°, intensity 729, hkl 3 2 1
- 2θ = 43.2°, intensity 513, hkl 3 4 4
- 2θ = 41.9°, intensity 297, hkl -1 4 1
- 2θ = 43.0°, intensity 290, hkl 1 0 5
- 2θ = 42.3°, intensity 287, hkl 3 0 -2
- 2θ = 11.4°, intensity 265, hkl 1 0 1

Structure:
```
data_Pr10C4Br15
_chemical_formula_sum 'Pr10 C4 Br15'
_cell_length_a 9.2861
_cell_length_b 10.2624
_cell_length_c 11.2132
_cell_angle_alpha 70.29
_cell_angle_beta 66.21
_cell_angle_gamma 70.90
_space_group_name_H-M_alt 'P -1'
_space_group_IT_number 2
_space_group_name_Hall '-P 1'
loop_
_atom_site_label
_atom_site_type_symbol
_atom_site_fract_x
_atom_site_fract_y
_atom_site_fract_z
Pr1 Pr 0.0274 0.1042 0.2643
Pr2 Pr 0.0784 0.1795 0.8878
Pr3 Pr 0.1695 0.4300 0.0458
Pr4 Pr 0.2467 0.5410 0.6445
Pr5 Pr 0.3333 0.7509 0.8320
C1 C 0.0444 0.7041 0.9384
C2 C 0.1201 0.6408 0.8291
Br1 Br 0.0517 0.5567 0.2963
Br2 Br 0.1317 0.8143 0.4686
Br3 Br 0.2323 0.9086 0.0610
Br4 Br 0.2573 0.0255 0.6455
Br5 Br 0.3343 0.1684 0.2199
Br6 Br 0.3848 0.2726 0.8171
Br7 Br 0.4539 0.3679 0.4124
Br8 Br 0.5000 0.5000 0.0000
```